Theoretical PXRD pattern
Compound: Sr2SnS5
Radiation: Cu Kα, 1.54184 Å
Structure: the PBE geometry in the Materials Project
Kinematic intensities with the Lorentz-polarization factor, no thermal factor.

Peak list (12 most intense, 10 to 90 degrees two-theta, sorted by position)
2θ/deg  I (rel.)
22.37  23
23.60  37
25.14  42
26.39  24
26.99  23
28.51  50
31.35  33
32.22  100
34.86  23
44.10  24
45.59  35
46.82  22

Cell and atoms:
```
32
Lattice="11.870 0.000 0.000 0.000 15.894 0.000 0.000 0.000 4.107" Properties=species:S:1:pos:R:3 pbc="T T T"
Sr 1.467 2.839 2.023
Sr 2.937 14.755 1.949
Sr 2.998 6.808 2.159
Sr 4.468 10.786 2.085
Sr 7.402 5.108 2.085
Sr 8.872 9.087 2.159
Sr 8.933 1.140 1.949
Sr 10.403 13.055 2.023
Sn 0.751 10.011 3.961
Sn 5.184 2.064 0.146
Sn 6.686 13.830 0.146
Sn 11.119 5.883 3.961
S 0.000 0.000 1.102
S 0.000 7.947 2.526
S 0.588 14.243 4.070
S 1.337 11.534 2.072
S 1.601 5.118 0.086
S 2.951 1.076 3.972
S 2.984 9.023 0.135
S 4.334 13.065 4.021
S 4.598 3.587 2.035
S 5.347 6.296 0.038
S 5.935 0.000 1.582
S 5.935 7.947 3.006
S 6.523 9.598 0.038
S 7.272 12.307 2.035
S 7.537 2.829 4.021
S 8.886 6.871 0.135
S 8.919 14.818 3.972
S 10.269 10.776 0.086
S 10.533 4.360 2.072
S 11.282 1.651 4.070
```